Starting from a structure optimized by DFT (PBE), the powder X-ray diffraction pattern of In2NiAs was computed for copper Kα.

The 10 most intense peaks (10° ≤ 2θ ≤ 90°), sorted by position:
- 2θ 28.67, intensity 160
- 2θ 32.43, intensity 1000
- 2θ 34.91, intensity 268
- 2θ 35.10, intensity 231
- 2θ 41.70, intensity 157
- 2θ 41.87, intensity 153
- 2θ 43.14, intensity 302
- 2θ 44.00, intensity 241
- 2θ 45.06, intensity 227
- 2θ 64.81, intensity 146

Atomic structure:
Cell: 4.1157 4.0236 5.3176 Å, 90.00 112.45 90.00°
Element x y z (fractional)
In: 0.0000 0.0000 0.0000
In: 0.2981 0.5000 0.6083
Ni: 0.7032 0.0000 0.4533
As: 0.5982 0.5000 0.1924

=====

Starting from a structure optimized by DFT (PBE), the powder X-ray diffraction pattern of TlZnInNiAsPt was computed for copper Kα.

The 10 most intense peaks (10° ≤ 2θ ≤ 90°), sorted by position:
- 2θ 19.89, intensity 154
- 2θ 25.40, intensity 634
- 2θ 28.49, intensity 193
- 2θ 30.28, intensity 300
- 2θ 34.47, intensity 173
- 2θ 36.97, intensity 1000
- 2θ 44.27, intensity 264
- 2θ 44.39, intensity 524
- 2θ 58.96, intensity 168
- 2θ 76.69, intensity 154

Atomic structure:
Cell: 4.0813 4.0813 9.2212 Å, 102.53 102.53 60.17°
Element x y z (fractional)
Tl: 0.0000 0.0000 0.0000
Zn: 0.5202 0.5202 0.5549
In: 0.7643 0.7643 0.2852
Ni: 0.8879 0.8879 0.6578
As: 0.2473 0.2473 0.7354
Pt: 0.1501 0.1501 0.4448

=====

Starting from a structure optimized by DFT (PBE), the powder X-ray diffraction pattern of TlZnInNiAsPt was computed for copper Kα.

The 10 most intense peaks (10° ≤ 2θ ≤ 90°), sorted by position:
- 2θ 10.60, intensity 415
- 2θ 22.51, intensity 419
- 2θ 32.19, intensity 463
- 2θ 33.41, intensity 866
- 2θ 34.78, intensity 733
- 2θ 35.15, intensity 671
- 2θ 36.87, intensity 593
- 2θ 39.96, intensity 1000
- 2θ 44.59, intensity 505
- 2θ 47.08, intensity 662

Atomic structure:
Cell: 8.7697 8.7697 8.7697 Å, 156.52 153.20 35.93°
Element x y z (fractional)
Tl: 0.0000 0.0000 0.0000
Zn: 0.2023 0.7023 0.5000
In: 0.3456 0.3456 0.0000
Ni: 0.6990 0.1990 0.5000
As: 0.6060 0.6060 0.0000
Pt: 0.8154 0.8154 0.0000

=====

Number 2 is which compound?
TlZnInNiAsPt